No. 1
Starting from DFT lattice parameters and positions (GGA-PBE), the powder X-ray diffraction pattern of KCaMg6 was calculated for CuKα.

Crystal structure
```
data_KCaMg6
_chemical_formula_sum 'K1 Ca1 Mg6'
_space_group_name_H-M_alt 'P 1'
_space_group_IT_number 1
_cell_length_a 5.4360
_cell_length_b 7.0533
_cell_length_c 7.0533
_cell_angle_alpha 58.72
_cell_angle_beta 90.00
_cell_angle_gamma 90.00
loop_
_space_group_symop_operation_xyz
'x,y,z'
loop_
_atom_site_label
_atom_site_fract_x
_atom_site_fract_y
_atom_site_fract_z
_atom_site_occupancy
K1 0.0000 0.0000 0.0000 1
Ca1 0.0000 0.4967 0.4967 1
Mg1 0.0000 0.5022 0.9984 1
Mg2 0.0000 0.9984 0.5022 1
Mg3 0.5000 0.1562 0.6336 1
Mg4 0.5000 0.1780 0.1780 1
Mg5 0.5000 0.6336 0.1562 1
Mg6 0.5000 0.6693 0.6693 1
```

Main lines, in order of falling intensity (15 to 90 degrees two-theta):
34.01°, d 2.636, intensity 100; 33.49°, d 2.676, intensity 57; 32.95°, d 2.718, intensity 39; 29.64°, d 3.014, intensity 31; 62.83°, d 1.479, intensity 23; 44.91°, d 2.019, intensity 18; 59.53°, d 1.553, intensity 18; 51.86°, d 1.763, intensity 17; 64.12°, d 1.452, intensity 15; 29.05°, d 3.074, intensity 11; 21.83°, d 4.072, intensity 10; 59.19°, d 1.561, intensity 10


No. 2
Starting from DFT lattice parameters and positions (GGA-PBE), the powder X-ray diffraction pattern of Er2Co17 was calculated for CuKα.

Crystal structure
```
data_Er2Co17
_chemical_formula_sum 'Er4 Co34'
_space_group_name_H-M_alt 'P 1'
_space_group_IT_number 1
_cell_length_a 8.2694
_cell_length_b 8.2694
_cell_length_c 8.0748
_cell_angle_alpha 90.00
_cell_angle_beta 90.00
_cell_angle_gamma 120.00
loop_
_space_group_symop_operation_xyz
'x,y,z'
loop_
_atom_site_label
_atom_site_fract_x
_atom_site_fract_y
_atom_site_fract_z
_atom_site_occupancy
Er1 0.0000 0.0000 0.2500 1
Er2 0.0000 0.0000 0.7500 1
Er3 0.3333 0.6667 0.2500 1
Er4 0.6667 0.3333 0.7500 1
Co1 0.0000 0.5000 0.0000 1
Co2 0.0000 0.5000 0.5000 1
Co3 0.0457 0.3739 0.7500 1
Co4 0.0457 0.6718 0.7500 1
Co5 0.1665 0.3330 0.0224 1
Co6 0.1665 0.3330 0.4776 1
Co7 0.1665 0.8335 0.0224 1
Co8 0.1665 0.8335 0.4776 1
Co9 0.3282 0.3739 0.7500 1
Co10 0.3282 0.9543 0.7500 1
Co11 0.3330 0.1665 0.5224 1
Co12 0.3330 0.1665 0.9776 1
Co13 0.3333 0.6667 0.6063 1
Co14 0.3333 0.6667 0.8937 1
Co15 0.3739 0.0457 0.2500 1
Co16 0.3739 0.3282 0.2500 1
Co17 0.5000 0.0000 0.0000 1
Co18 0.5000 0.0000 0.5000 1
Co19 0.5000 0.5000 0.0000 1
Co20 0.5000 0.5000 0.5000 1
Co21 0.6261 0.6718 0.7500 1
Co22 0.6261 0.9543 0.7500 1
Co23 0.6667 0.3333 0.1063 1
Co24 0.6667 0.3333 0.3937 1
Co25 0.6670 0.8335 0.0224 1
Co26 0.6670 0.8335 0.4776 1
Co27 0.6718 0.0457 0.2500 1
Co28 0.6718 0.6261 0.2500 1
Co29 0.8335 0.1665 0.5224 1
Co30 0.8335 0.1665 0.9776 1
Co31 0.8335 0.6670 0.5224 1
Co32 0.8335 0.6670 0.9776 1
Co33 0.9543 0.3282 0.2500 1
Co34 0.9543 0.6261 0.2500 1
```

Main lines, in order of falling intensity (15 to 90 degrees two-theta):
44.07°, d 2.055, intensity 100; 43.79°, d 2.067, intensity 63; 30.96°, d 2.889, intensity 43; 37.68°, d 2.387, intensity 41; 41.99°, d 2.152, intensity 41; 44.90°, d 2.019, intensity 31; 82.23°, d 1.172, intensity 18; 63.87°, d 1.457, intensity 18; 64.52°, d 1.444, intensity 17; 49.54°, d 1.840, intensity 17; 80.46°, d 1.194, intensity 16; 47.65°, d 1.909, intensity 15


No. 3
Starting from DFT lattice parameters and positions (GGA-PBE), the powder X-ray diffraction pattern of LuBC was calculated for CuKα.

Crystal structure
```
data_LuBC
_chemical_formula_sum 'Lu2 B2 C2'
_space_group_name_H-M_alt 'P 1'
_space_group_IT_number 1
_cell_length_a 2.9911
_cell_length_b 2.9911
_cell_length_c 7.7442
_cell_angle_alpha 90.00
_cell_angle_beta 90.00
_cell_angle_gamma 120.00
loop_
_space_group_symop_operation_xyz
'x,y,z'
loop_
_atom_site_label
_atom_site_fract_x
_atom_site_fract_y
_atom_site_fract_z
_atom_site_occupancy
Lu1 0.0000 0.0000 0.0000 1
Lu2 0.0000 0.0000 0.5000 1
B1 0.3333 0.6667 0.2500 1
B2 0.6667 0.3333 0.7500 1
C1 0.3333 0.6667 0.7500 1
C2 0.6667 0.3333 0.2500 1
```

Main lines, in order of falling intensity (15 to 90 degrees two-theta):
41.96°, d 2.153, intensity 100; 34.63°, d 2.590, intensity 69; 22.97°, d 3.872, intensity 55; 59.62°, d 1.551, intensity 30; 67.09°, d 1.395, intensity 19; 62.06°, d 1.496, intensity 17; 77.75°, d 1.228, intensity 16; 81.29°, d 1.184, intensity 16; 83.72°, d 1.155, intensity 14; 46.93°, d 1.936, intensity 13; 73.06°, d 1.295, intensity 8; 73.35°, d 1.291, intensity 2


No. 4
Starting from DFT lattice parameters and positions (GGA-PBE), the powder X-ray diffraction pattern of Fe6Ge5 was calculated for CuKα.

Crystal structure
```
data_Fe6Ge5
_chemical_formula_sum 'Fe12 Ge10'
_space_group_name_H-M_alt 'P 1'
_space_group_IT_number 1
_cell_length_a 6.3017
_cell_length_b 6.3017
_cell_length_c 7.7979
_cell_angle_alpha 105.31
_cell_angle_beta 105.31
_cell_angle_gamma 76.65
loop_
_space_group_symop_operation_xyz
'x,y,z'
loop_
_atom_site_label
_atom_site_fract_x
_atom_site_fract_y
_atom_site_fract_z
_atom_site_occupancy
Fe1 0.0000 0.5000 0.0000 1
Fe2 0.0444 0.5238 0.6755 1
Fe3 0.0787 0.0787 0.7788 1
Fe4 0.2477 0.7523 0.0000 1
Fe5 0.3763 0.3763 0.4827 1
Fe6 0.4762 0.9556 0.3245 1
Fe7 0.5000 0.0000 0.0000 1
Fe8 0.5238 0.0444 0.6755 1
Fe9 0.6237 0.6237 0.5173 1
Fe10 0.7523 0.2477 0.0000 1
Fe11 0.9213 0.9213 0.2212 1
Fe12 0.9556 0.4762 0.3245 1
Ge1 0.1358 0.1358 0.4940 1
Ge2 0.1564 0.1564 0.1274 1
Ge3 0.2573 0.6529 0.2873 1
Ge4 0.3471 0.7427 0.7127 1
Ge5 0.3506 0.3506 0.8993 1
Ge6 0.6494 0.6494 0.1007 1
Ge7 0.6529 0.2573 0.2873 1
Ge8 0.7427 0.3471 0.7127 1
Ge9 0.8436 0.8436 0.8726 1
Ge10 0.8642 0.8642 0.5060 1
```

Main lines, in order of falling intensity (15 to 90 degrees two-theta):
43.66°, d 2.073, intensity 100; 45.35°, d 2.000, intensity 54; 46.48°, d 1.954, intensity 36; 44.91°, d 2.018, intensity 31; 44.63°, d 2.031, intensity 20; 35.79°, d 2.509, intensity 13; 65.71°, d 1.421, intensity 12; 33.49°, d 2.676, intensity 12; 35.89°, d 2.502, intensity 10; 36.35°, d 2.471, intensity 10; 41.72°, d 2.165, intensity 9; 77.20°, d 1.236, intensity 9


No. 5
Starting from DFT lattice parameters and positions (GGA-PBE), the powder X-ray diffraction pattern of Li2Eu5Sn7 was calculated for CuKα.

Crystal structure
```
data_Li2Eu5Sn7
_chemical_formula_sum 'Li8 Eu20 Sn28'
_space_group_name_H-M_alt 'P 1'
_space_group_IT_number 1
_cell_length_a 6.3774
_cell_length_b 13.9469
_cell_length_c 17.8196
_cell_angle_alpha 90.00
_cell_angle_beta 90.00
_cell_angle_gamma 90.00
loop_
_space_group_symop_operation_xyz
'x,y,z'
loop_
_atom_site_label
_atom_site_fract_x
_atom_site_fract_y
_atom_site_fract_z
_atom_site_occupancy
Li1 0.0830 0.2314 0.4797 1
Li2 0.1212 0.2324 0.7712 1
Li3 0.3788 0.7676 0.2712 1
Li4 0.4170 0.7686 0.9797 1
Li5 0.5830 0.2686 0.5203 1
Li6 0.6212 0.2676 0.2288 1
Li7 0.8788 0.7324 0.7288 1
Li8 0.9170 0.7314 0.0203 1
Eu1 0.1359 0.5009 0.0174 1
Eu2 0.1390 0.1760 0.2828 1
Eu3 0.1395 0.1805 0.9588 1
Eu4 0.1417 0.9235 0.1237 1
Eu5 0.1450 0.5026 0.7376 1
Eu6 0.3550 0.4974 0.2376 1
Eu7 0.3583 0.0765 0.6237 1
Eu8 0.3605 0.8195 0.4588 1
Eu9 0.3610 0.8240 0.7828 1
Eu10 0.3641 0.4991 0.5174 1
Eu11 0.6359 0.9991 0.9826 1
Eu12 0.6395 0.3195 0.0412 1
Eu13 0.6390 0.3240 0.7172 1
Eu14 0.6417 0.5765 0.8763 1
Eu15 0.6450 0.9974 0.2624 1
Eu16 0.8550 0.0026 0.7624 1
Eu17 0.8583 0.4235 0.3763 1
Eu18 0.8610 0.6760 0.2172 1
Eu19 0.8605 0.6805 0.5412 1
Eu20 0.8641 0.0009 0.4826 1
Sn1 0.0930 0.8769 0.6242 1
Sn2 0.1122 0.6307 0.3786 1
Sn3 0.1329 0.6553 0.8798 1
Sn4 0.1392 0.9381 0.9346 1
Sn5 0.1472 0.9434 0.3107 1
Sn6 0.1600 0.3070 0.1219 1
Sn7 0.1897 0.3098 0.6257 1
Sn8 0.3103 0.6902 0.1257 1
Sn9 0.3400 0.6930 0.6219 1
Sn10 0.3528 0.0566 0.8107 1
Sn11 0.3608 0.0619 0.4346 1
Sn12 0.3671 0.3447 0.3798 1
Sn13 0.3878 0.3693 0.8786 1
Sn14 0.4071 0.1231 0.1242 1
Sn15 0.5930 0.6231 0.3758 1
Sn16 0.6122 0.8693 0.6214 1
Sn17 0.6329 0.8447 0.1202 1
Sn18 0.6392 0.5619 0.0654 1
Sn19 0.6472 0.5566 0.6893 1
Sn20 0.6600 0.1930 0.8781 1
Sn21 0.6897 0.1902 0.3743 1
Sn22 0.8103 0.8098 0.8743 1
Sn23 0.8400 0.8070 0.3781 1
Sn24 0.8528 0.4434 0.1893 1
Sn25 0.8608 0.4381 0.5654 1
Sn26 0.8671 0.1553 0.6202 1
Sn27 0.8878 0.1307 0.1214 1
Sn28 0.9070 0.3769 0.8758 1
```

Main lines, in order of falling intensity (15 to 90 degrees two-theta):
32.48°, d 2.756, intensity 100; 31.14°, d 2.872, intensity 89; 30.78°, d 2.905, intensity 55; 34.10°, d 2.630, intensity 40; 29.18°, d 3.061, intensity 35; 32.61°, d 2.746, intensity 33; 29.67°, d 3.011, intensity 30; 33.67°, d 2.662, intensity 30; 35.16°, d 2.552, intensity 28; 61.03°, d 1.518, intensity 23; 39.61°, d 2.275, intensity 21; 31.85°, d 2.809, intensity 21


No. 6
Starting from DFT lattice parameters and positions (GGA-PBE), the powder X-ray diffraction pattern of Ba2Ni3N2 was calculated for CuKα.

Crystal structure
```
data_Ba2Ni3N2
_chemical_formula_sum 'Ba4 Ni6 N4'
_space_group_name_H-M_alt 'P 1'
_space_group_IT_number 1
_cell_length_a 7.4152
_cell_length_b 6.3319
_cell_length_c 6.3319
_cell_angle_alpha 111.50
_cell_angle_beta 90.00
_cell_angle_gamma 90.00
loop_
_space_group_symop_operation_xyz
'x,y,z'
loop_
_atom_site_label
_atom_site_fract_x
_atom_site_fract_y
_atom_site_fract_z
_atom_site_occupancy
Ba1 0.0911 0.1692 0.8308 1
Ba2 0.4089 0.6692 0.3308 1
Ba3 0.5911 0.3308 0.6692 1
Ba4 0.9089 0.8308 0.1692 1
Ni1 0.0000 0.5212 0.5212 1
Ni2 0.2482 0.6761 0.8251 1
Ni3 0.2518 0.1761 0.3251 1
Ni4 0.5000 0.0212 0.0212 1
Ni5 0.7482 0.3251 0.1761 1
Ni6 0.7518 0.8251 0.6761 1
N1 0.2260 0.4261 0.5733 1
N2 0.2740 0.9261 0.0733 1
N3 0.7260 0.0733 0.9261 1
N4 0.7740 0.5733 0.4261 1
```

Main lines, in order of falling intensity (15 to 90 degrees two-theta):
30.98°, d 2.887, intensity 100; 28.44°, d 3.138, intensity 69; 32.71°, d 2.738, intensity 44; 40.35°, d 2.235, intensity 35; 34.92°, d 2.569, intensity 34; 36.41°, d 2.468, intensity 30; 47.92°, d 1.898, intensity 28; 24.99°, d 3.564, intensity 27; 57.43°, d 1.604, intensity 23; 58.94°, d 1.567, intensity 19; 51.73°, d 1.767, intensity 18; 67.20°, d 1.393, intensity 18


No. 7
Starting from DFT lattice parameters and positions (GGA-PBE), the powder X-ray diffraction pattern of K2NaCuF6 was calculated for CuKα.

Crystal structure
```
data_K2NaCuF6
_chemical_formula_sum 'K2 Na1 Cu1 F6'
_space_group_name_H-M_alt 'P 1'
_space_group_IT_number 1
_cell_length_a 5.9191
_cell_length_b 5.9191
_cell_length_c 5.9191
_cell_angle_alpha 60.00
_cell_angle_beta 60.00
_cell_angle_gamma 60.00
loop_
_space_group_symop_operation_xyz
'x,y,z'
loop_
_atom_site_label
_atom_site_fract_x
_atom_site_fract_y
_atom_site_fract_z
_atom_site_occupancy
K1 0.2500 0.2500 0.2500 1
K2 0.7500 0.7500 0.7500 1
Na1 0.0000 0.0000 0.0000 1
Cu1 0.5000 0.5000 0.5000 1
F1 0.2695 0.2695 0.7305 1
F2 0.2695 0.7305 0.2695 1
F3 0.2695 0.7305 0.7305 1
F4 0.7305 0.2695 0.2695 1
F5 0.7305 0.2695 0.7305 1
F6 0.7305 0.7305 0.2695 1
```

Main lines, in order of falling intensity (15 to 90 degrees two-theta):
30.20°, d 2.960, intensity 100; 43.23°, d 2.093, intensity 76; 18.36°, d 4.833, intensity 43; 62.79°, d 1.480, intensity 40; 53.64°, d 1.709, intensity 34; 37.21°, d 2.416, intensity 20; 87.13°, d 1.119, intensity 18; 21.23°, d 4.185, intensity 18; 71.25°, d 1.324, intensity 16; 79.29°, d 1.208, intensity 12; 35.57°, d 2.524, intensity 11; 57.18°, d 1.611, intensity 9


No. 8
Starting from DFT lattice parameters and positions (GGA-PBE), the powder X-ray diffraction pattern of Sr2MgTi2O6 was calculated for CuKα.

Crystal structure
```
data_Sr2MgTi2O6
_chemical_formula_sum 'Sr2 Mg1 Ti2 O6'
_space_group_name_H-M_alt 'P 1'
_space_group_IT_number 1
_cell_length_a 5.6881
_cell_length_b 5.8088
_cell_length_c 6.2181
_cell_angle_alpha 68.02
_cell_angle_beta 66.13
_cell_angle_gamma 60.74
loop_
_space_group_symop_operation_xyz
'x,y,z'
loop_
_atom_site_label
_atom_site_fract_x
_atom_site_fract_y
_atom_site_fract_z
_atom_site_occupancy
Sr1 0.0000 0.0000 0.0000 1
Sr2 0.4098 0.3920 0.6295 1
Mg1 0.6111 0.6578 0.0818 1
Ti1 0.1716 0.2373 0.3061 1
Ti2 0.7382 0.7772 0.5479 1
O1 0.3283 0.5061 0.2191 1
O2 0.3417 0.9906 0.5781 1
O3 0.4103 0.0631 0.0400 1
O4 0.7944 0.5702 0.3314 1
O5 0.8853 0.0370 0.4422 1
O6 0.8976 0.5013 0.8016 1
```

Main lines, in order of falling intensity (15 to 90 degrees two-theta):
30.79°, d 2.904, intensity 100; 30.94°, d 2.890, intensity 72; 31.51°, d 2.839, intensity 69; 31.04°, d 2.881, intensity 54; 32.60°, d 2.746, intensity 54; 33.37°, d 2.685, intensity 49; 43.28°, d 2.091, intensity 46; 29.28°, d 3.050, intensity 39; 20.97°, d 4.236, intensity 34; 47.61°, d 1.910, intensity 32; 45.30°, d 2.002, intensity 30; 36.33°, d 2.473, intensity 29


No. 9
Starting from DFT lattice parameters and positions (GGA-PBE), the powder X-ray diffraction pattern of CaB2H2O7 was calculated for CuKα.

Crystal structure
```
data_CaB2H2O7
_chemical_formula_sum 'Ca2 B4 H4 O14'
_space_group_name_H-M_alt 'P 1'
_space_group_IT_number 1
_cell_length_a 6.0371
_cell_length_b 6.8382
_cell_length_c 7.1221
_cell_angle_alpha 75.20
_cell_angle_beta 69.23
_cell_angle_gamma 79.29
loop_
_space_group_symop_operation_xyz
'x,y,z'
loop_
_atom_site_label
_atom_site_fract_x
_atom_site_fract_y
_atom_site_fract_z
_atom_site_occupancy
Ca1 0.1609 0.2053 0.4696 1
Ca2 0.8391 0.7947 0.5304 1
B1 0.3551 0.6819 0.9140 1
B2 0.3717 0.7001 0.5254 1
B3 0.6283 0.2999 0.4746 1
B4 0.6449 0.3181 0.0860 1
H1 0.1519 0.4622 0.9846 1
H2 0.4283 0.7392 0.1474 1
H3 0.5717 0.2608 0.8526 1
H4 0.8481 0.5378 0.0154 1
O1 0.0239 0.9930 0.9102 1
O2 0.1670 0.5710 0.0439 1
O3 0.2261 0.8664 0.4560 1
O4 0.2457 0.5166 0.5632 1
O5 0.3818 0.3207 0.6398 1
O6 0.4380 0.7148 0.7046 1
O7 0.4757 0.7677 0.9975 1
O8 0.5243 0.2323 0.0025 1
O9 0.5620 0.2852 0.2954 1
O10 0.6182 0.6793 0.3602 1
O11 0.7543 0.4834 0.4368 1
O12 0.7739 0.1336 0.5440 1
O13 0.8330 0.4290 0.9561 1
O14 0.9761 0.0070 0.0898 1
```

Main lines, in order of falling intensity (15 to 90 degrees two-theta):
27.38°, d 3.258, intensity 100; 24.56°, d 3.625, intensity 48; 36.07°, d 2.490, intensity 41; 32.98°, d 2.716, intensity 40; 38.83°, d 2.319, intensity 36; 27.12°, d 3.288, intensity 29; 49.23°, d 1.851, intensity 23; 30.61°, d 2.921, intensity 23; 26.55°, d 3.357, intensity 21; 50.04°, d 1.823, intensity 21; 19.68°, d 4.510, intensity 17; 28.19°, d 3.165, intensity 17


No. 10
Starting from DFT lattice parameters and positions (GGA-PBE), the powder X-ray diffraction pattern of La10Er9S27 was calculated for CuKα.

Crystal structure
```
data_La10Er9S27
_chemical_formula_sum 'La10 Er9 S27'
_space_group_name_H-M_alt 'P 1'
_space_group_IT_number 1
_cell_length_a 15.0055
_cell_length_b 15.0055
_cell_length_c 21.8142
_cell_angle_alpha 121.77
_cell_angle_beta 121.77
_cell_angle_gamma 15.10
loop_
_space_group_symop_operation_xyz
'x,y,z'
loop_
_atom_site_label
_atom_site_fract_x
_atom_site_fract_y
_atom_site_fract_z
_atom_site_occupancy
La1 0.0000 0.0000 0.0000 1
La2 0.0111 0.0111 0.8172 1
La3 0.0671 0.0671 0.5049 1
La4 0.0855 0.0855 0.3284 1
La5 0.6842 0.6842 0.8876 1
La6 0.7027 0.7027 0.7111 1
La7 0.7586 0.7586 0.3987 1
La8 0.7698 0.7698 0.2160 1
La9 0.8435 0.8435 0.9148 1
La10 0.9263 0.9263 0.3012 1
Er1 0.0634 0.0634 0.6843 1
Er2 0.1338 0.1338 0.1954 1
Er3 0.3122 0.3122 0.0791 1
Er4 0.3597 0.3597 0.7485 1
Er5 0.4101 0.4101 0.4675 1
Er6 0.4576 0.4576 0.1369 1
Er7 0.6360 0.6360 0.0206 1
Er8 0.7064 0.7064 0.5317 1
Er9 0.8868 0.8868 0.6078 1
S1 0.0265 0.0265 0.1605 1
S2 0.1298 0.1298 0.9280 1
S3 0.1707 0.1707 0.7769 1
S4 0.1831 0.1831 0.6006 1
S5 0.1845 0.1845 0.1228 1
S6 0.2084 0.2084 0.4485 1
S7 0.2418 0.2418 0.2929 1
S8 0.2798 0.2798 0.9400 1
S9 0.2914 0.2914 0.7936 1
S10 0.3359 0.3359 0.5065 1
S11 0.3420 0.3420 0.2223 1
S12 0.4278 0.4278 0.9936 1
S13 0.4339 0.4339 0.7095 1
S14 0.4783 0.4783 0.4224 1
S15 0.4900 0.4900 0.2760 1
S16 0.5279 0.5279 0.9230 1
S17 0.5614 0.5614 0.7675 1
S18 0.5853 0.5853 0.0932 1
S19 0.5867 0.5867 0.6154 1
S20 0.5990 0.5990 0.4391 1
S21 0.6399 0.6399 0.2880 1
S22 0.7433 0.7433 0.0555 1
S23 0.8111 0.8111 0.6446 1
S24 0.8599 0.8599 0.3733 1
S25 0.8849 0.8849 0.1080 1
S26 0.9099 0.9099 0.8427 1
S27 0.9622 0.9622 0.5708 1
```

Main lines, in order of falling intensity (15 to 90 degrees two-theta):
25.87°, d 3.444, intensity 100; 24.09°, d 3.695, intensity 97; 25.61°, d 3.479, intensity 89; 35.06°, d 2.559, intensity 46; 46.03°, d 1.972, intensity 44; 30.96°, d 2.889, intensity 39; 52.62°, d 1.739, intensity 38; 43.64°, d 2.074, intensity 34; 31.16°, d 2.870, intensity 33; 24.95°, d 3.568, intensity 30; 33.63°, d 2.665, intensity 26; 41.92°, d 2.155, intensity 25